Starting from a DFT-relaxed cell (GGA-PBE, OQMD), the X-ray powder pattern of NaAu4S4 was simulated for a wavelength of 1.5418 Å.
Intensities are scaled so that the largest is 1000.

The 12 most intense peaks (2θ from 5° to 70°), low angle first:
(hkl)	d (Å)	I_rel
0 0 2	6.393	151
1 0 0	3.623	212
0 0 4	3.197	165
0 1 2	3.152	1000
1 0 4	2.397	336
1 1 0	2.092	399
0 1 6	1.837	116
1 1 4	1.750	175
2 0 2	1.743	188
0 2 4	1.576	94
1 1 6	1.493	133
1 0 8	1.462	72

```
data_NaAu4S4
_chemical_formula_sum 'Na1 Au4 S4'
_symmetry_space_group_name_H-M 'P -3 m 1'
_symmetry_Int_Tables_number 164
_symmetry_space_group_name_Hall '-P 3 2"'
_cell_length_a 4.1835
_cell_length_b 4.1835
_cell_length_c 12.7861
_cell_angle_alpha 90.00
_cell_angle_beta 90.00
_cell_angle_gamma 120.00
loop_
_atom_site_label
_atom_site_fract_x
_atom_site_fract_y
_atom_site_fract_z
_atom_site_occupancy
Na1 0.0000 0.0000 0.0000 1
Au1 0.3333 0.6667 0.1683 1
Au2 0.3333 0.6667 0.6435 1
S1 0.0000 0.0000 0.4183 1
S2 0.3333 0.6667 0.8471 1
```